# K2MnReO6
Simulated powder X-ray diffraction pattern, λ = 1.5418 Å (Cu Kα). Input: a DFT-relaxed cell (GGA+U, Alexandria).
Lines closer than 0.1° are merged.

Atomic structure:
Cell: 6.0658 6.0658 4.9124 Å, 90.00 90.00 120.00°
Space group P-3m1 (No. 164)
Symmetry-distinct sites (fractional):
K 0.3333 0.6667 0.2939
Mn 0.0000 0.0000 0.5000
Re 0.0000 0.0000 0.0000
O 0.1441 0.2882 0.7576

The 10 most intense peaks (2θ = 10–90°), sorted by position:
| 2θ (°) | I/Imax | hkl |
| --- | --- | --- |
| 16.88 | 100 | 1 0 0 |
| 24.81 | 31 | 0 1 1 |
| 29.45 | 41 | 1 1 0 |
| 38.88 | 18 | 2 0 1 |
| 40.54 | 24 | 1 0 2 |
| 45.69 | 10 | 2 1 0 |
| 47.64 | 10 | 1 1 2 |
| 49.52 | 9 | 1 2 1 |
| 50.90 | 20 | 0 2 2 |
| 59.90 | 20 | 2 1 2 |